Starting from a PBE-relaxed structure, the powder diffractogram of SrUNi10 was simulated for Cu Kα (weighted mean of Kα1 and Kα2).
Kinematic intensities with the Lorentz-polarization factor, no thermal factor.

Peak list (8 most intense, 10 to 80 degrees two-theta, most intense first)
- 2θ = 43.3°, d = 2.091 Å, intensity 100
- 2θ = 30.7°, d = 2.913 Å, intensity 80
- 2θ = 43.1°, d = 2.100 Å, intensity 52
- 2θ = 10.4°, d = 8.492 Å, intensity 52
- 2θ = 45.5°, d = 1.994 Å, intensity 42
- 2θ = 42.3°, d = 2.135 Å, intensity 34
- 2θ = 36.6°, d = 2.456 Å, intensity 31
- 2θ = 70.2°, d = 1.341 Å, intensity 22

Structural model:
Cell: 3.988 4.942 8.492 Å, 90.00 90.00 90.00°
Atoms (fractional coordinates):
Sr 0.000 0.000 0.000
U 0.000 0.500 0.500
Ni 0.000 0.000 0.344
Ni 0.000 0.000 0.656
Ni 0.000 0.500 0.191
Ni 0.000 0.500 0.809
Ni 0.500 0.000 0.500
Ni 0.500 0.258 0.263
Ni 0.500 0.258 0.737
Ni 0.500 0.500 0.000
Ni 0.500 0.742 0.263
Ni 0.500 0.742 0.737

=====

Starting from a PBE-relaxed structure, the powder diffractogram of SrZn8Ni4 was simulated for Cu Kα (weighted mean of Kα1 and Kα2).
Kinematic intensities with the Lorentz-polarization factor, no thermal factor.

Peak list (8 most intense, 10 to 80 degrees two-theta, most intense first)
- 2θ = 41.4°, d = 2.183 Å, intensity 100
- 2θ = 46.2°, d = 1.964 Å, intensity 85
- 2θ = 41.5°, d = 2.178 Å, intensity 82
- 2θ = 41.0°, d = 2.200 Å, intensity 75
- 2θ = 46.6°, d = 1.950 Å, intensity 59
- 2θ = 35.6°, d = 2.523 Å, intensity 46
- 2θ = 75.6°, d = 1.258 Å, intensity 31
- 2θ = 75.3°, d = 1.262 Å, intensity 25

Structural model:
Cell: 6.667 6.667 6.667 Å, 98.41 98.41 135.04°
Atoms (fractional coordinates):
Sr 0.000 0.000 0.000
Zn 0.000 0.343 0.343
Zn 0.000 0.657 0.657
Zn 0.270 0.500 0.770
Zn 0.343 0.000 0.343
Zn 0.500 0.270 0.770
Zn 0.500 0.730 0.230
Zn 0.657 0.000 0.657
Zn 0.730 0.500 0.230
Ni 0.000 0.000 0.500
Ni 0.000 0.500 0.000
Ni 0.500 0.000 0.000
Ni 0.500 0.500 0.500